(1)
Diffraction record for SbPtS. The X-ray diffraction stick pattern is calculated, not measured: it uses a GGA-PBE-relaxed structure and Cu Kα.
Intensities are scaled so that the largest is 1000.

Crystal structure
Cell lengths 6.287, 6.287, 6.287 Å; angles 90.00, 90.00, 90.00 degrees
Positions (direct):
1 Sb 0.119 0.119 0.119
2 Sb 0.381 0.881 0.619
3 Sb 0.619 0.381 0.881
4 Sb 0.881 0.619 0.381
5 Pt 0.006 0.506 0.994
6 Pt 0.494 0.494 0.494
7 Pt 0.506 0.994 0.006
8 Pt 0.994 0.006 0.506
9 S 0.115 0.385 0.615
10 S 0.385 0.615 0.115
11 S 0.615 0.115 0.385
12 S 0.885 0.885 0.885

The 8 most intense peaks (2θ = 10–90°), by intensity:
2θ/deg, Rel. int.
47.99, 1000
28.39, 741
24.52, 580
40.59, 505
31.83, 450
79.16, 332
34.96, 246
50.27, 218



(2)
Diffraction record for Na4YNbSi3O12. The X-ray diffraction stick pattern is calculated, not measured: it uses a GGA-PBE-relaxed structure and Cu Kα.
Intensities are scaled so that the largest is 1000.

Crystal structure
Cell lengths 9.338, 9.338, 9.338 Å; angles 60.33, 60.33, 60.33 degrees
Positions (direct):
1 Na 0.000 0.000 0.000
2 Na 0.126 0.391 0.739
3 Na 0.239 0.891 0.626
4 Na 0.391 0.739 0.126
5 Na 0.500 0.500 0.500
6 Na 0.626 0.239 0.891
7 Na 0.739 0.126 0.391
8 Na 0.891 0.626 0.239
9 Y 0.353 0.353 0.353
10 Y 0.853 0.853 0.853
11 Nb 0.152 0.152 0.152
12 Nb 0.652 0.652 0.652
13 Si 0.049 0.762 0.453
14 Si 0.262 0.549 0.953
15 Si 0.453 0.049 0.762
16 Si 0.549 0.953 0.262
17 Si 0.762 0.453 0.049
18 Si 0.953 0.262 0.549
19 O 0.005 0.228 0.362
20 O 0.032 0.787 0.619
21 O 0.054 0.944 0.278
22 O 0.102 0.729 0.917
23 O 0.119 0.287 0.532
24 O 0.228 0.362 0.005
25 O 0.229 0.602 0.417
26 O 0.278 0.054 0.944
27 O 0.287 0.532 0.119
28 O 0.362 0.005 0.228
29 O 0.417 0.229 0.602
30 O 0.444 0.554 0.778
31 O 0.505 0.862 0.728
32 O 0.532 0.119 0.287
33 O 0.554 0.778 0.444
34 O 0.602 0.417 0.229
35 O 0.619 0.032 0.787
36 O 0.728 0.505 0.862
37 O 0.729 0.917 0.102
38 O 0.778 0.444 0.554
39 O 0.787 0.619 0.032
40 O 0.862 0.728 0.505
41 O 0.917 0.102 0.729
42 O 0.944 0.278 0.054

The 8 most intense peaks (2θ = 10–90°), by intensity:
2θ/deg, Rel. int.
18.96, 1000
30.25, 845
33.07, 579
45.42, 329
26.94, 236
57.32, 232
51.53, 193
49.78, 158



(3)
Diffraction record for MnBe12. The X-ray diffraction stick pattern is calculated, not measured: it uses a GGA-PBE-relaxed structure and Cu Kα.
Intensities are scaled so that the largest is 1000.

Crystal structure
Cell lengths 5.459, 5.459, 5.459 Å; angles 98.10, 98.10, 135.90 degrees
Positions (direct):
1 Mn 0.000 0.000 0.000
2 Be 0.000 0.000 0.500
3 Be 0.000 0.346 0.346
4 Be 0.000 0.500 0.000
5 Be 0.000 0.654 0.654
6 Be 0.290 0.500 0.790
7 Be 0.346 0.000 0.346
8 Be 0.500 0.000 0.000
9 Be 0.500 0.290 0.790
10 Be 0.500 0.500 0.500
11 Be 0.500 0.710 0.210
12 Be 0.654 0.000 0.654
13 Be 0.710 0.500 0.210

The 8 most intense peaks (2θ = 10–90°), by intensity:
2θ/deg, Rel. int.
17.53, 1000
51.12, 899
35.59, 819
25.04, 780
43.92, 452
51.39, 378
39.84, 330
24.89, 304